(1)
This entry pairs a crystal structure of Mg2MnPt3 with its computed powder diffractogram. Radiation: CuKα. Structure: a DFT-relaxed cell (PBE, Alexandria).
Lines closer than 0.1° are merged.

Atomic structure:
Lattice parameters (Å, degrees): 4.2203 12.6908 6.9815 90.00 90.00 90.00
Space group Cmmm (No. 65)
Asymmetric unit:
Mg  0.0000  0.0000  0.0000 [2 per cell]
Mg  0.0000  0.0000  0.5000 [2 per cell]
Mg  0.0000  0.3328  0.0000 [4 per cell]
Mn  0.0000  0.3341  0.5000 [4 per cell]
Pt  0.0000  0.1681  0.2585 [8 per cell]
Pt  0.0000  0.5000  0.2536 [4 per cell]

The 12 most intense peaks (5 to 70 degrees two-theta), by angle:
d 6.981, I 2.7, hkl 0 0 1
d 3.491, I 36.5, hkl 0 0 2
d 2.988, I 49.8, hkl 1 3 0
d 2.270, I 100.0, hkl 1 3 2
d 2.115, I 20.4, hkl 0 6 0
d 2.110, I 20.3, hkl 2 0 0
d 1.807, I 24.1, hkl 2 0 2
d 1.745, I 11.0, hkl 0 0 4
d 1.507, I 13.2, hkl 1 3 4
d 1.494, I 13.5, hkl 2 6 0
d 1.373, I 10.0, hkl 2 6 2
d 1.346, I 18.5, hkl 2 0 4

(2)
This entry pairs a crystal structure of Cs3Pd2S4 with its computed powder diffractogram. Radiation: CuKα. Structure: a DFT-relaxed cell (PBE, Alexandria).
Lines closer than 0.1° are merged.

Atomic structure:
Lattice parameters (Å, degrees): 14.7121 11.1545 7.1844 90.00 99.57 90.00
Space group C2/c (No. 15)
Asymmetric unit:
Cs  0.0000  0.0822  0.2500 [4 per cell]
Cs  0.1294  0.3579  0.5595 [8 per cell]
Pd  0.2166  0.1278  0.9512 [8 per cell]
S  0.1328  0.2912  0.0363 [8 per cell]
S  0.1922  0.0421  0.6404 [8 per cell]

The 12 most intense peaks (5 to 70 degrees two-theta), by angle:
d 7.254, I 22.9, hkl 2 0 0
d 4.048, I 66.2, hkl 3 1 -1
d 3.592, I 100.0, hkl 2 2 1
d 3.542, I 16.4, hkl 0 0 2
d 3.410, I 32.9, hkl 1 1 -2
d 2.993, I 34.6, hkl 2 0 2
d 2.825, I 39.4, hkl 3 3 -1
d 2.808, I 36.7, hkl 5 1 0
d 2.789, I 21.0, hkl 0 4 0
d 2.579, I 23.9, hkl 1 3 -2
d 2.343, I 13.8, hkl 1 1 -3
d 1.751, I 16.8, hkl 4 2 3

(3)
This entry pairs a crystal structure of LiSc4Cd5 with its computed powder diffractogram. Radiation: CuKα. Structure: a DFT-relaxed cell (PBE, Alexandria).
Lines closer than 0.1° are merged.

Atomic structure:
Lattice parameters (Å, degrees): 3.4705 3.4705 17.8310 90.00 90.00 90.00
Space group P4/mmm (No. 123)
Asymmetric unit:
Li  0.0000  0.0000  0.0000 [1 per cell]
Sc  0.0000  0.0000  0.1946 [2 per cell]
Sc  0.0000  0.0000  0.3981 [2 per cell]
Cd  0.5000  0.5000  0.0899 [2 per cell]
Cd  0.5000  0.5000  0.2970 [2 per cell]
Cd  0.5000  0.5000  0.5000 [1 per cell]

The 12 most intense peaks (5 to 70 degrees two-theta), by angle:
d 3.566, I 16.7, hkl 0 0 5
d 3.470, I 33.1, hkl 1 0 0
d 2.487, I 100.0, hkl 1 0 5
d 2.454, I 49.9, hkl 1 1 0
d 2.022, I 14.2, hkl 1 1 5
d 1.783, I 7.8, hkl 0 0 10
d 1.735, I 16.5, hkl 2 0 0
d 1.586, I 5.4, hkl 1 0 10
d 1.560, I 6.1, hkl 2 0 5
d 1.552, I 6.3, hkl 2 1 0
d 1.443, I 14.9, hkl 1 1 10
d 1.423, I 31.8, hkl 2 1 5

(4)
This entry pairs a crystal structure of TmTc2B6 with its computed powder diffractogram. Radiation: CuKα. Structure: a DFT-relaxed cell (PBE, Alexandria).
Lines closer than 0.1° are merged.

Atomic structure:
Lattice parameters (Å, degrees): 3.1058 6.7755 8.5406 90.00 90.00 90.00
Space group Immm (No. 71)
Asymmetric unit:
Tm  0.0000  0.0000  0.0000 [2 per cell]
Tc  0.0000  0.5000  0.1609 [4 per cell]
B  0.0000  0.1574  0.5000 [4 per cell]
B  0.0000  0.2456  0.3105 [8 per cell]

The 12 most intense peaks (5 to 70 degrees two-theta), by angle:
d 3.388, I 81.2, hkl 0 2 0
d 2.919, I 61.9, hkl 1 0 1
d 2.625, I 100.0, hkl 0 1 3
d 2.355, I 78.8, hkl 1 1 2
d 2.211, I 80.5, hkl 1 2 1
d 1.769, I 34.0, hkl 0 3 3
d 1.703, I 37.8, hkl 1 1 4
d 1.694, I 15.3, hkl 0 4 0
d 1.679, I 23.9, hkl 1 3 2
d 1.465, I 19.1, hkl 1 4 1
d 1.388, I 16.5, hkl 1 3 4
d 1.369, I 14.3, hkl 1 2 5

(5)
This entry pairs a crystal structure of KTaF6 with its computed powder diffractogram. Radiation: CuKα. Structure: a DFT-relaxed cell (PBE, Alexandria).
Lines closer than 0.1° are merged.

Atomic structure:
Lattice parameters (Å, degrees): 5.3279 5.3279 9.9888 90.00 90.00 90.00
Space group P4_2/mcm (No. 132)
Asymmetric unit:
K  0.0000  0.0000  0.2500 [2 per cell]
Ta  0.5000  0.5000  0.0000 [2 per cell]
F  0.2435  0.2435  0.0000 [4 per cell]
F  0.3181  0.3181  0.3645 [8 per cell]

The 12 most intense peaks (5 to 70 degrees two-theta), by angle:
d 5.328, I 76.0, hkl 1 0 0
d 4.994, I 32.0, hkl 0 0 2
d 3.767, I 65.5, hkl 1 1 0
d 3.644, I 100.0, hkl 1 0 2
d 3.008, I 24.2, hkl 1 1 2
d 2.496, I 13.7, hkl 0 0 4
d 2.151, I 51.7, hkl 2 1 2
d 2.081, I 20.0, hkl 1 1 4
d 1.884, I 14.1, hkl 2 2 0
d 1.822, I 16.2, hkl 2 0 4
d 1.724, I 13.8, hkl 2 1 4
d 1.397, I 15.1, hkl 3 1 4

(6)
This entry pairs a crystal structure of Nb5S8 with its computed powder diffractogram. Radiation: CuKα. Structure: a DFT-relaxed cell (PBE, Alexandria).
Lines closer than 0.1° are merged.

Atomic structure:
Lattice parameters (Å, degrees): 5.8140 5.8140 25.4919 90.00 90.00 120.00
Space group P312 (No. 149)
Asymmetric unit:
Nb  0.0000  0.0000  0.0000 [1 per cell]
Nb  0.0000  0.0000  0.1258 [2 per cell]
Nb  0.0000  0.0000  0.3748 [2 per cell]
Nb  0.3333  0.6667  0.1244 [2 per cell]
Nb  0.3333  0.6667  0.2513 [2 per cell]
Nb  0.3333  0.6667  0.3757 [2 per cell]
Nb  0.6667  0.3333  0.1250 [2 per cell]
Nb  0.6667  0.3333  0.3748 [2 per cell]
S  0.0009  0.3342  0.6877 [6 per cell]
S  0.3334  0.0016  0.5638 [6 per cell]
S  0.3343  0.0010  0.0630 [6 per cell]
S  0.3350  0.0017  0.1873 [6 per cell]

The 12 most intense peaks (5 to 70 degrees two-theta), by angle:
d 6.373, I 63.6, hkl 0 0 4
d 4.683, I 15.4, hkl 1 0 2
d 2.907, I 38.7, hkl 1 1 0
d 2.834, I 17.3, hkl 1 1 2
d 2.645, I 41.0, hkl 1 1 4
d 2.399, I 9.7, hkl 1 1 6
d 2.148, I 100.0, hkl 1 1 8
d 1.715, I 12.5, hkl 1 1 12
d 1.678, I 32.7, hkl 3 0 0
d 1.623, I 9.3, hkl 3 0 4
d 1.593, I 9.2, hkl 0 0 16
d 1.397, I 8.5, hkl 2 -1 16

Copy entry 4 word for word.
This entry pairs a crystal structure of TmTc2B6 with its computed powder diffractogram. Radiation: CuKα. Structure: a DFT-relaxed cell (PBE, Alexandria).
Lines closer than 0.1° are merged.

Atomic structure:
Lattice parameters (Å, degrees): 3.1058 6.7755 8.5406 90.00 90.00 90.00
Space group Immm (No. 71)
Asymmetric unit:
Tm  0.0000  0.0000  0.0000 [2 per cell]
Tc  0.0000  0.5000  0.1609 [4 per cell]
B  0.0000  0.1574  0.5000 [4 per cell]
B  0.0000  0.2456  0.3105 [8 per cell]

The 12 most intense peaks (5 to 70 degrees two-theta), by angle:
d 3.388, I 81.2, hkl 0 2 0
d 2.919, I 61.9, hkl 1 0 1
d 2.625, I 100.0, hkl 0 1 3
d 2.355, I 78.8, hkl 1 1 2
d 2.211, I 80.5, hkl 1 2 1
d 1.769, I 34.0, hkl 0 3 3
d 1.703, I 37.8, hkl 1 1 4
d 1.694, I 15.3, hkl 0 4 0
d 1.679, I 23.9, hkl 1 3 2
d 1.465, I 19.1, hkl 1 4 1
d 1.388, I 16.5, hkl 1 3 4
d 1.369, I 14.3, hkl 1 2 5